[1]
Starting from a cell relaxed with PBE, the powder diffraction line list of DyNp4Ga15 was computed for Cu Kα (λ = 1.5418 Å).

Lattice parameters (Å, degrees): 4.2562 4.2562 21.3994 90.00 90.00 90.00
Fractional coordinates of all 20 atoms:
Dy 0.0000 0.0000 0.0000
Np 0.0000 0.0000 0.2000
Np 0.0000 0.0000 0.3999
Np 0.0000 0.0000 0.6001
Np 0.0000 0.0000 0.8000
Ga 0.0000 0.5000 0.1009
Ga 0.0000 0.5000 0.3002
Ga 0.0000 0.5000 0.5000
Ga 0.0000 0.5000 0.6998
Ga 0.0000 0.5000 0.8991
Ga 0.5000 0.0000 0.1009
Ga 0.5000 0.0000 0.3002
Ga 0.5000 0.0000 0.5000
Ga 0.5000 0.0000 0.6998
Ga 0.5000 0.0000 0.8991
Ga 0.5000 0.5000 0.0000
Ga 0.5000 0.5000 0.2006
Ga 0.5000 0.5000 0.3999
Ga 0.5000 0.5000 0.6001
Ga 0.5000 0.5000 0.7994

Top 6 peaks for 2θ from 15° to 90°, in order of rising 2θ:
two_theta, Rel. int.
20.87, 21
29.63, 27
36.50, 100
42.48, 33
61.45, 22
73.80, 25

[2]
Starting from a cell relaxed with PBE, the powder diffraction line list of Ti5ZnO7 was computed for Cu Kα (λ = 1.5418 Å).

Lattice parameters (Å, degrees): 5.1571 5.1571 17.8606 90.00 90.00 146.67
Fractional coordinates of all 26 atoms:
Ti 0.0000 0.0000 0.0000
Ti 0.0000 0.0000 0.5000
Ti 0.2981 0.7019 0.5722
Ti 0.2981 0.7019 0.9278
Ti 0.4558 0.5442 0.1485
Ti 0.4558 0.5442 0.3515
Ti 0.5442 0.4558 0.6485
Ti 0.5442 0.4558 0.8515
Ti 0.7019 0.2981 0.0722
Ti 0.7019 0.2981 0.4278
Zn 0.2019 0.7981 0.2500
Zn 0.7981 0.2019 0.7500
O 0.0847 0.9153 0.1157
O 0.0847 0.9153 0.3843
O 0.1886 0.8114 0.6727
O 0.1886 0.8114 0.8273
O 0.3493 0.6507 0.0434
O 0.3493 0.6507 0.4566
O 0.4536 0.5464 0.7500
O 0.5464 0.4536 0.2500
O 0.6507 0.3493 0.5434
O 0.6507 0.3493 0.9566
O 0.8114 0.1886 0.1727
O 0.8114 0.1886 0.3273
O 0.9153 0.0847 0.6157
O 0.9153 0.0847 0.8843

Top 6 peaks for 2θ from 15° to 90°, in order of rising 2θ:
two_theta, Rel. int.
30.89, 33
35.08, 40
35.20, 69
42.30, 100
43.86, 52
56.63, 28

[3]
Starting from a cell relaxed with PBE, the powder diffraction line list of Ho3Tm4Sc5 was computed for Cu Kα (λ = 1.5418 Å).

Lattice parameters (Å, degrees): 8.1279 8.1279 9.2132 117.96 117.96 40.55
Fractional coordinates of all 12 atoms:
Ho 0.0000 0.0000 0.0000
Ho 0.2702 0.2702 0.7373
Ho 0.7298 0.7298 0.2627
Tm 0.2925 0.2925 0.1192
Tm 0.4147 0.4147 0.5583
Tm 0.5853 0.5853 0.4417
Tm 0.7075 0.7075 0.8808
Sc 0.0605 0.0605 0.7019
Sc 0.1676 0.1676 0.3595
Sc 0.5000 0.5000 0.0000
Sc 0.8324 0.8324 0.6405
Sc 0.9395 0.9395 0.2981

Top 6 peaks for 2θ from 15° to 90°, in order of rising 2θ:
two_theta, Rel. int.
30.87, 65
31.46, 43
31.77, 81
33.42, 45
33.89, 100
34.76, 50

[4]
Starting from a cell relaxed with PBE, the powder diffraction line list of SnHIr was computed for Cu Kα (λ = 1.5418 Å).

Lattice parameters (Å, degrees): 5.1008 5.1008 5.4210 90.00 90.00 143.60
Fractional coordinates of all 6 atoms:
Sn 0.1987 0.8013 0.7500
Sn 0.8013 0.1987 0.2500
H 0.2936 0.2936 0.0000
H 0.7064 0.7064 0.5000
Ir 0.0765 0.9235 0.2500
Ir 0.9235 0.0765 0.7500

Top 6 peaks for 2θ from 15° to 90°, in order of rising 2θ:
two_theta, Rel. int.
29.51, 89
33.05, 75
40.79, 77
43.23, 100
44.89, 58
66.11, 29

[5]
Starting from a cell relaxed with PBE, the powder diffraction line list of HgPNF2 was computed for Cu Kα (λ = 1.5418 Å).

Lattice parameters (Å, degrees): 4.6405 4.6405 3.2431 90.00 90.00 90.00
Fractional coordinates of all 5 atoms:
Hg 0.0000 0.0000 0.0000
P 0.5000 0.5000 0.5000
N 0.5000 0.5000 0.0000
F 0.0000 0.5000 0.5000
F 0.5000 0.0000 0.5000

Top 6 peaks for 2θ from 15° to 90°, in order of rising 2θ:
two_theta, Rel. int.
19.13, 94
27.18, 77
33.72, 100
38.81, 58
39.05, 70
52.34, 59

[6]
Starting from a cell relaxed with PBE, the powder diffraction line list of CaCrIn2H was computed for Cu Kα (λ = 1.5418 Å).

Lattice parameters (Å, degrees): 4.7655 4.7655 4.3551 90.00 90.00 90.00
Fractional coordinates of all 5 atoms:
Ca 0.0000 0.0000 0.0000
Cr 0.5000 0.5000 0.0000
In 0.0000 0.5000 0.5000
In 0.5000 0.0000 0.5000
H 0.0000 0.0000 0.5000

Top 6 peaks for 2θ from 15° to 90°, in order of rising 2θ:
two_theta, Rel. int.
26.45, 15
33.63, 100
37.75, 37
57.32, 20
65.55, 26
70.67, 21

[7]
Starting from a cell relaxed with PBE, the powder diffraction line list of CsSn2Te4 was computed for Cu Kα (λ = 1.5418 Å).

Lattice parameters (Å, degrees): 7.7348 8.4011 10.2173 111.07 108.82 97.75
Fractional coordinates of all 14 atoms:
Cs 0.0000 0.0000 0.0000
Cs 0.2517 0.7531 0.5043
Sn 0.0742 0.4474 0.7523
Sn 0.5738 0.4469 0.7517
Sn 0.7128 0.7395 0.2017
Sn 0.7634 0.2906 0.3027
Te 0.1696 0.2624 0.4803
Te 0.3275 0.2364 0.8557
Te 0.4311 0.4302 0.1699
Te 0.4646 0.7790 0.9387
Te 0.5134 0.0129 0.3344
Te 0.7243 0.1328 0.6484
Te 0.7768 0.5928 0.5652
Te 0.9401 0.5323 0.0238

Top 6 peaks for 2θ from 15° to 90°, in order of rising 2θ:
two_theta, Rel. int.
26.21, 89
27.38, 35
27.64, 100
28.07, 54
31.05, 45
31.24, 33

[8]
Starting from a cell relaxed with PBE, the powder diffraction line list of Pr2HfAl4Au3 was computed for Cu Kα (λ = 1.5418 Å).

Lattice parameters (Å, degrees): 4.3424 4.3424 11.3614 90.00 90.00 90.00
Fractional coordinates of all 10 atoms:
Pr 0.0000 0.5000 0.2454
Pr 0.5000 0.0000 0.7546
Hf 0.0000 0.0000 0.5000
Al 0.0000 0.0000 0.0000
Al 0.0000 0.5000 0.6518
Al 0.5000 0.0000 0.3482
Al 0.5000 0.5000 0.0000
Au 0.0000 0.5000 0.8747
Au 0.5000 0.0000 0.1253
Au 0.5000 0.5000 0.5000

Top 6 peaks for 2θ from 15° to 90°, in order of rising 2θ:
two_theta, Rel. int.
23.49, 36
25.82, 38
30.15, 79
31.34, 72
33.17, 100
41.59, 68